# 1
Starting from the PBE geometry in Alexandria, the powder diffractogram of K4RbNa4 was simulated for copper Kα.
Peak positions follow from Bragg's law for the DFT cell and can differ from measured ones.

Largest 10 diffraction maxima, low angle first, 2θ from 5° to 70°:
(1 2 1), 20.67 deg, d 4.297, intensity 48.1; (3 1 0), 22.69 deg, d 3.919, intensity 24.4; (3 0 1), 25.22 deg, d 3.531, intensity 100.0; (0 0 2), 26.20 deg, d 3.401, intensity 35.1; (2 3 1), 29.11 deg, d 3.068, intensity 32.0; (3 3 0), 30.61 deg, d 2.921, intensity 19.4; (3 1 2), 34.93 deg, d 2.569, intensity 15.3; (3 3 2), 40.72 deg, d 2.216, intensity 16.9; (3 0 3), 45.64 deg, d 1.988, intensity 18.2; (6 1 1), 46.54 deg, d 1.952, intensity 14.6

Structure:
```
data_K4RbNa4
_chemical_formula_sum 'K8 Rb2 Na8'
_symmetry_space_group_name_H-M 'I 4/m'
_symmetry_Int_Tables_number 87
_symmetry_space_group_name_Hall '-I 4'
_cell_length_a 12.392
_cell_length_b 12.392
_cell_length_c 6.803
_cell_angle_alpha 90.00
_cell_angle_beta 90.00
_cell_angle_gamma 90.00
loop_
_atom_site_label
_atom_site_fract_x
_atom_site_fract_y
_atom_site_fract_z
K1 0.140 0.782 0.000
Rb1 0.000 0.000 0.500
Na1 0.039 0.632 0.500
```



# 2
Starting from the PBE geometry in Alexandria, the powder diffractogram of K6Rb5Na5 was simulated for copper Kα.
Peak positions follow from Bragg's law for the DFT cell and can differ from measured ones.

Largest 10 diffraction maxima, low angle first, 2θ from 5° to 70°:
(0 1 1), 7.91 deg, d 11.177, intensity 21.1; (2 0 0), 22.73 deg, d 3.912, intensity 37.2; (1 1 3), 23.24 deg, d 3.827, intensity 93.4; (1 4 2), 24.92 deg, d 3.573, intensity 100.0; (1 5 1), 25.87 deg, d 3.444, intensity 19.2; (0 0 4), 26.46 deg, d 3.368, intensity 17.5; (2 3 1), 27.24 deg, d 3.273, intensity 25.2; (3 1 3), 40.21 deg, d 2.243, intensity 20.2; (3 4 2), 41.27 deg, d 2.187, intensity 24.6; (2 8 0), 42.91 deg, d 2.108, intensity 21.1

Structure:
```
data_K6Rb5Na5
_chemical_formula_sum 'K12 Rb10 Na10'
_symmetry_space_group_name_H-M 'A m m 2'
_symmetry_Int_Tables_number 38
_symmetry_space_group_name_Hall 'A 2 -2'
_cell_length_a 7.825
_cell_length_b 20.001
_cell_length_c 13.478
_cell_angle_alpha 90.00
_cell_angle_beta 90.00
_cell_angle_gamma 90.00
loop_
_atom_site_label
_atom_site_fract_x
_atom_site_fract_y
_atom_site_fract_z
K1 0.000 0.000 0.000
K2 0.000 0.156 0.257
K3 0.500 0.000 0.155
K4 0.500 0.248 0.715
Rb1 0.000 0.126 0.667
Rb2 0.500 0.000 0.807
Rb3 0.500 0.110 0.461
Na1 0.000 0.000 0.417
Na2 0.243 0.185 0.967
```



# 3
Starting from the PBE geometry in Alexandria, the powder diffractogram of K5Rb2Na was simulated for copper Kα.
Peak positions follow from Bragg's law for the DFT cell and can differ from measured ones.

Largest 10 diffraction maxima, low angle first, 2θ from 5° to 70°:
(1 2 0), 11.64 deg, d 7.604, intensity 23.1; (2 4 0), 23.39 deg, d 3.803, intensity 100.0; (2 0 1), 23.78 deg, d 3.742, intensity 96.8; (0 4 1), 25.33 deg, d 3.517, intensity 84.6; (4 0 0), 30.91 deg, d 2.893, intensity 16.4; (0 8 0), 35.60 deg, d 2.522, intensity 13.8; (0 0 2), 36.63 deg, d 2.453, intensity 16.2; (4 4 1), 40.37 deg, d 2.234, intensity 27.9; (2 8 1), 43.27 deg, d 2.091, intensity 30.2; (2 4 2), 43.93 deg, d 2.061, intensity 37.9

Structure:
```
data_K5Rb2Na
_chemical_formula_sum 'K10 Rb4 Na2'
_symmetry_space_group_name_H-M 'P b a m'
_symmetry_Int_Tables_number 55
_symmetry_space_group_name_Hall '-P 2 2ab'
_cell_length_a 11.573
_cell_length_b 20.173
_cell_length_c 4.906
_cell_angle_alpha 90.00
_cell_angle_beta 90.00
_cell_angle_gamma 90.00
loop_
_atom_site_label
_atom_site_fract_x
_atom_site_fract_y
_atom_site_fract_z
K1 0.000 0.000 0.000
K2 0.002 0.232 0.000
K3 0.215 0.618 0.500
Rb1 0.217 0.381 0.500
Na1 0.000 0.500 0.000
```



# 4
Starting from the PBE geometry in Alexandria, the powder diffractogram of K10RbNa3 was simulated for copper Kα.
Peak positions follow from Bragg's law for the DFT cell and can differ from measured ones.

Largest 10 diffraction maxima, low angle first, 2θ from 5° to 70°:
(4 2 0), 19.91 deg, d 4.459, intensity 56.7; (4 2 2), 21.84 deg, d 4.070, intensity 34.8; (3 3 3), 23.18 deg, d 3.837, intensity 100.0; (4 4 0), 25.27 deg, d 3.525, intensity 57.2; (5 3 1), 26.44 deg, d 3.371, intensity 56.4; (6 2 2), 29.72 deg, d 3.006, intensity 50.3; (6 4 4), 37.18 deg, d 2.418, intensity 22.9; (6 6 0), 38.30 deg, d 2.350, intensity 37.8; (9 1 1), 41.25 deg, d 2.189, intensity 17.7; (8 4 4), 44.52 deg, d 2.035, intensity 40.3

Structure:
```
data_K10RbNa3
_chemical_formula_sum 'K80 Rb8 Na24'
_symmetry_space_group_name_H-M 'F m -3 m'
_symmetry_Int_Tables_number 225
_symmetry_space_group_name_Hall '-F 4 2 3'
_cell_length_a 19.940
_cell_length_b 19.940
_cell_length_c 19.940
_cell_angle_alpha 90.00
_cell_angle_beta 90.00
_cell_angle_gamma 90.00
loop_
_atom_site_label
_atom_site_fract_x
_atom_site_fract_y
_atom_site_fract_z
K1 0.000 0.171 0.171
K2 0.119 0.119 0.381
Rb1 0.250 0.250 0.250
Na1 0.000 0.000 0.272
```



# 5
Starting from the PBE geometry in Alexandria, the powder diffractogram of K5Rb2Na6 was simulated for copper Kα.
Peak positions follow from Bragg's law for the DFT cell and can differ from measured ones.

Largest 10 diffraction maxima, low angle first, 2θ from 5° to 70°:
(0 0 3), 6.46 deg, d 13.680, intensity 100.0; (1 0 1), 10.39 deg, d 8.518, intensity 22.2; (1 1 0), 17.64 deg, d 5.027, intensity 53.7; (1 1 6), 21.94 deg, d 4.051, intensity 46.5; (1 1 9), 26.39 deg, d 3.378, intensity 79.7; (3 0 0), 30.81 deg, d 2.903, intensity 38.8; (3 0 3), 31.51 deg, d 2.839, intensity 16.6; (2 2 9), 41.00 deg, d 2.201, intensity 22.7; (3 0 15), 45.56 deg, d 1.991, intensity 14.9; (4 1 9), 52.15 deg, d 1.754, intensity 21.3

Structure:
```
data_K5Rb2Na6
_chemical_formula_sum 'K15 Rb6 Na18'
_symmetry_space_group_name_H-M 'R -3 m'
_symmetry_Int_Tables_number 166
_symmetry_space_group_name_Hall '-R 3 2"'
_cell_length_a 10.0546
_cell_length_b 10.0546
_cell_length_c 41.0415
_cell_angle_alpha 90.00
_cell_angle_beta 90.00
_cell_angle_gamma 120.00
loop_
_atom_site_label
_atom_site_fract_x
_atom_site_fract_y
_atom_site_fract_z
K1 0.0000 0.0000 0.0000
K2 0.0000 0.0000 0.2272
K3 0.0000 0.0000 0.4386
Rb1 0.0000 0.0000 0.1045
Na1 0.0000 0.3318 0.5000
```



# 6
Starting from the PBE geometry in Alexandria, the powder diffractogram of K4RbNa9 was simulated for copper Kα.
Peak positions follow from Bragg's law for the DFT cell and can differ from measured ones.

Largest 10 diffraction maxima, low angle first, 2θ from 5° to 70°:
(2 2 0), 19.79 deg, d 4.486, intensity 36.3; (1 1 4), 21.85 deg, d 4.067, intensity 46.9; (2 2 2), 22.11 deg, d 4.021, intensity 81.9; (2 0 4), 24.02 deg, d 3.704, intensity 100.0; (3 1 2), 24.23 deg, d 3.673, intensity 99.4; (2 1 5), 29.09 deg, d 3.070, intensity 31.0; (0 0 6), 29.32 deg, d 3.046, intensity 81.3; (4 1 1), 29.43 deg, d 3.035, intensity 79.2; (3 3 2), 31.49 deg, d 2.841, intensity 25.4; (4 1 7), 45.60 deg, d 1.989, intensity 27.7

Structure:
```
data_K4RbNa9
_chemical_formula_sum 'K16 Rb4 Na36'
_symmetry_space_group_name_H-M 'I 4/m c m'
_symmetry_Int_Tables_number 140
_symmetry_space_group_name_Hall '-I 4 2c'
_cell_length_a 12.690
_cell_length_b 12.690
_cell_length_c 18.251
_cell_angle_alpha 90.00
_cell_angle_beta 90.00
_cell_angle_gamma 90.00
loop_
_atom_site_label
_atom_site_fract_x
_atom_site_fract_y
_atom_site_fract_z
K1 0.192 0.308 0.132
Rb1 0.000 0.000 0.250
Na1 0.000 0.500 0.000
Na2 0.052 0.204 0.500
Na3 0.100 0.400 0.328
```